Na3ZnPCO7: simulated powder diffraction line list (Cu Kα (λ = 1.5418 Å)), based on a structure optimized by DFT (GGA-PBE).

Most intense lines, 2θ = 5–70°, by intensity:
2θ 16.7, intensity 100; 2θ 33.7, intensity 85; 2θ 27.0, intensity 74; 2θ 33.4, intensity 60; 2θ 34.6, intensity 53; 2θ 33.6, intensity 42; 2θ 48.2, intensity 33; 2θ 36.8, intensity 30

Cell and atoms:
a = 5.3119 Å, b = 6.6023 Å, c = 8.9947 Å
α = 90.00°, β = 90.95°, γ = 90.00°
Positions (direct):
Na 0.0039 0.0000 0.0117
Na 0.0545 0.2996 0.3314
Na 0.4931 0.0026 0.4979
Na 0.5069 0.5026 0.5021
Na 0.9455 0.7996 0.6686
Na 0.9961 0.5000 0.9883
Zn 0.4830 0.7508 0.2009
Zn 0.5170 0.2508 0.7991
P 0.4802 0.7510 0.8460
P 0.5198 0.2510 0.1540
C 0.0084 0.7504 0.3488
C 0.9916 0.2504 0.6512
O 0.0792 0.7515 0.2123
O 0.1731 0.7471 0.4579
O 0.1950 0.7580 0.8704
O 0.2328 0.2486 0.6196
O 0.3706 0.2470 0.0020
O 0.4320 0.4386 0.2468
O 0.4399 0.0627 0.2472
O 0.5601 0.5627 0.7528
O 0.5680 0.9386 0.7532
O 0.6294 0.7470 0.9980
O 0.7672 0.7486 0.3804
O 0.8050 0.2580 0.1296
O 0.8269 0.2471 0.5421
O 0.9208 0.2515 0.7877


Na2ZrPCO10: simulated powder diffraction line list (Cu Kα (λ = 1.5418 Å)), based on a structure optimized by DFT (GGA-PBE).

Most intense lines, 2θ = 5–70°, by intensity:
2θ 8.7, intensity 100; 2θ 15.8, intensity 76; 2θ 26.6, intensity 63; 2θ 21.8, intensity 50; 2θ 23.3, intensity 45; 2θ 25.7, intensity 30; 2θ 15.5, intensity 27; 2θ 31.3, intensity 27

Cell and atoms:
a = 7.1362 Å, b = 7.1362 Å, c = 11.5580 Å
α = 115.32°, β = 115.32°, γ = 55.96°
Positions (direct):
Na 0.2191 0.7212 0.6788
Na 0.2788 0.7809 0.3212
Na 0.7212 0.2191 0.6788
Na 0.7809 0.2788 0.3212
Zr 0.1772 0.1772 0.1326
Zr 0.8228 0.8228 0.8674
P 0.2491 0.2491 0.8724
P 0.7509 0.7509 0.1276
C 0.2955 0.2955 0.3981
C 0.7045 0.7045 0.6019
O 0.0128 0.0128 0.9420
O 0.0542 0.0542 0.5142
O 0.1141 0.1141 0.7752
O 0.1256 0.5013 0.8576
O 0.1746 0.1746 0.3250
O 0.2674 0.2674 0.0180
O 0.3487 0.3487 0.5222
O 0.3506 0.3506 0.3257
O 0.4617 0.4617 0.1645
O 0.4987 0.8744 0.1424
O 0.5013 0.1256 0.8576
O 0.5383 0.5383 0.8355
O 0.6494 0.6494 0.6743
O 0.6513 0.6513 0.4778
O 0.7326 0.7326 0.9820
O 0.8254 0.8254 0.6750
O 0.8744 0.4987 0.1424
O 0.8859 0.8859 0.2248
O 0.9458 0.9458 0.4858
O 0.9872 0.9872 0.0580


NaPrC2O6: simulated powder diffraction line list (Cu Kα (λ = 1.5418 Å)), based on a structure optimized by DFT (GGA-PBE).

Most intense lines, 2θ = 5–70°, by intensity:
2θ 30.2, intensity 100; 2θ 18.5, intensity 87; 2θ 17.1, intensity 82; 2θ 35.1, intensity 71; 2θ 25.3, intensity 64; 2θ 30.4, intensity 63; 2θ 13.8, intensity 55; 2θ 46.7, intensity 54

Cell and atoms:
a = 5.1876 Å, b = 6.4341 Å, c = 7.2015 Å
α = 90.00°, β = 90.00°, γ = 90.00°
Positions (direct):
Na 0.0000 0.0178 0.0000
Na 0.0000 0.9822 0.5000
Pr 0.5000 0.3709 0.3000
Pr 0.5000 0.6291 0.8000
C 0.0000 0.4631 0.9708
C 0.0000 0.5369 0.4708
C 0.5000 0.0809 0.7153
C 0.5000 0.9191 0.2153
O 0.0000 0.3585 0.3875
O 0.0000 0.6415 0.8875
O 0.2198 0.3743 0.0062
O 0.2198 0.6257 0.5062
O 0.2874 0.0158 0.2525
O 0.2874 0.9842 0.7525
O 0.5000 0.2641 0.6376
O 0.5000 0.7359 0.1376
O 0.7126 0.0158 0.2525
O 0.7126 0.9842 0.7525
O 0.7802 0.3743 0.0062
O 0.7802 0.6257 0.5062


Na4Sb2C4SO16: simulated powder diffraction line list (Cu Kα (λ = 1.5418 Å)), based on a structure optimized by DFT (GGA-PBE).

Most intense lines, 2θ = 5–70°, by intensity:
2θ 10.5, intensity 100; 2θ 19.5, intensity 76; 2θ 21.0, intensity 49; 2θ 20.5, intensity 49; 2θ 20.3, intensity 45; 2θ 35.4, intensity 44; 2θ 32.1, intensity 35; 2θ 32.6, intensity 35

Cell and atoms:
a = 10.5193 Å, b = 10.4459 Å, c = 10.1418 Å
α = 61.43°, β = 60.71°, γ = 57.86°
Positions (direct):
Na 0.0773 0.6727 0.0773
Na 0.0784 0.6716 0.6716
Na 0.3273 0.9227 0.3273
Na 0.3284 0.9216 0.9216
Na 0.6716 0.0784 0.0784
Na 0.6727 0.0773 0.6727
Na 0.9216 0.3284 0.3284
Na 0.9227 0.3273 0.9227
Sb 0.0000 0.5000 0.5000
Sb 0.5000 0.0000 0.5000
Sb 0.5000 0.5000 0.0000
Sb 0.5000 0.5000 0.5000
C 0.2709 0.6577 0.2882
C 0.2831 0.2882 0.6577
C 0.2882 0.2831 0.2709
C 0.3423 0.7291 0.7169
C 0.6577 0.2709 0.2831
C 0.7118 0.7169 0.7291
C 0.7169 0.7118 0.3423
C 0.7291 0.3423 0.7118
S 0.1250 0.1250 0.1250
S 0.8750 0.8750 0.8750
O 0.0570 0.3023 0.0710
O 0.0697 0.0710 0.3023
O 0.0710 0.0697 0.0570
O 0.1471 0.6466 0.4082
O 0.1496 0.3027 0.6647
O 0.1501 0.4020 0.2842
O 0.2842 0.6636 0.1501
O 0.2981 0.4082 0.6466
O 0.3023 0.0570 0.0697
O 0.3027 0.1496 0.3830
O 0.3353 0.6170 0.8504
O 0.3364 0.7158 0.5980
O 0.3534 0.8529 0.7019
O 0.3830 0.6647 0.3027
O 0.4020 0.1501 0.6636
O 0.4082 0.2981 0.1471
O 0.5918 0.7019 0.8529
O 0.5980 0.8499 0.3364
O 0.6170 0.3353 0.6973
O 0.6466 0.1471 0.2981
O 0.6636 0.2842 0.4020
O 0.6647 0.3830 0.1496
O 0.6973 0.8504 0.6170
O 0.6977 0.9430 0.9303
O 0.7019 0.5918 0.3534
O 0.7158 0.3364 0.8499
O 0.8499 0.5980 0.7158
O 0.8504 0.6973 0.3353
O 0.8529 0.3534 0.5918
O 0.9290 0.9303 0.9430
O 0.9303 0.9290 0.6977
O 0.9430 0.6977 0.9290